[1]
Diffraction record for La3Mg2Cd2. The X-ray diffraction stick pattern is computed, not measured: it uses a structure optimized by DFT (PBE) and Cu Ka.

Atomic structure:
Unit cell a=3.7779 b=6.6474 c=8.7111 alpha=78.94 beta=89.92 gamma=73.56
Space group P-1 (No. 2)
Asymmetric unit:
La1 0.0000 0.0000 0.0000 (multiplicity 1)
La2 0.3607 0.2772 0.6553 (multiplicity 2)
Mg1 0.2960 0.4090 0.1305 (multiplicity 2)
Cd1 0.0843 0.8309 0.6455 (multiplicity 2)

Main lines, in order of rising 2θ (10 to 80 degrees two-theta):
| d/Å | Position (°2θ) | I/Imax | (hkl) |
| --- | --- | --- | --- |
| 8.536 | 10.36 | 22.2 | 0 0 1 |
| 6.247 | 14.18 | 19.5 | 0 1 0 |
| 3.263 | 27.33 | 37.6 | 1 1 -1 |
| 2.843 | 31.47 | 100.0 | 0 0 3 |
| 2.802 | 31.94 | 42.6 | 0 2 2 |
| 2.798 | 31.98 | 37.2 | 1 -1 0 |
| 2.761 | 32.43 | 34.8 | 0 2 -1 |
| 2.559 | 35.06 | 22.3 | 1 2 -1 |
| 2.499 | 35.94 | 21.9 | 1 2 2 |
| 1.641 | 56.04 | 19.2 | 1 4 1 |

***

[2]
Diffraction record for NpAl2InO8. The X-ray diffraction stick pattern is computed, not measured: it uses a structure optimized by DFT (PBE) and Cu Ka.

Atomic structure:
Unit cell a=6.5815 b=6.6217 c=6.3249 alpha=90.00 beta=90.00 gamma=90.00
Space group Cmmm (No. 65)
Asymmetric unit:
Np1 0.0000 0.0000 0.0000 (multiplicity 2)
Al1 0.0000 0.5000 0.2727 (multiplicity 4)
In1 0.0000 0.0000 0.5000 (multiplicity 2)
O1 0.0000 0.2144 0.2315 (multiplicity 8)
O2 0.1829 0.5000 0.5000 (multiplicity 4)
O3 0.1935 0.5000 0.0000 (multiplicity 4)

Main lines, in order of rising 2θ (10 to 80 degrees two-theta):
| d/Å | Position (°2θ) | I/Imax | (hkl) |
| --- | --- | --- | --- |
| 4.668 | 19.01 | 100.0 | 1 1 0 |
| 3.756 | 23.69 | 23.6 | 1 1 1 |
| 3.311 | 26.93 | 47.5 | 0 2 0 |
| 3.291 | 27.10 | 49.9 | 2 0 0 |
| 3.162 | 28.22 | 22.0 | 0 0 2 |
| 2.618 | 34.25 | 78.7 | 1 1 2 |
| 2.287 | 39.40 | 36.1 | 0 2 2 |
| 1.878 | 48.47 | 21.7 | 2 2 2 |
| 1.745 | 52.43 | 30.9 | 1 3 2 |
| 1.739 | 52.62 | 34.7 | 3 1 2 |

***

[3]
Diffraction record for CaGa12Ir6. The X-ray diffraction stick pattern is computed, not measured: it uses a structure optimized by DFT (PBE) and Cu Ka.

Atomic structure:
Unit cell a=11.5353 b=11.5353 c=8.6146 alpha=90.00 beta=90.00 gamma=120.00
Space group R-3m (No. 166, hexagonal axes)
Asymmetric unit:
Ca1 0.0000 0.0000 0.0000 (multiplicity 3)
Ga1 0.0000 0.3836 0.5000 (multiplicity 18)
Ga2 0.0934 0.1868 0.3120 (multiplicity 18)
Ir1 0.0577 0.5288 0.2550 (multiplicity 18)

Main lines, in order of rising 2θ (10 to 80 degrees two-theta):
| d/Å | Position (°2θ) | I/Imax | (hkl) |
| --- | --- | --- | --- |
| 6.524 | 13.57 | 48.2 | 1 0 1 |
| 5.768 | 15.36 | 52.8 | 1 1 0 |
| 3.458 | 25.76 | 54.8 | 2 1 1 |
| 3.262 | 27.34 | 51.5 | 2 0 2 |
| 2.215 | 40.74 | 100.0 | 3 2 1 |
| 2.175 | 41.53 | 78.0 | 0 3 3 |
| 2.161 | 41.81 | 25.2 | 0 4 2 |
| 1.978 | 45.89 | 55.9 | 0 2 4 |
| 1.812 | 50.34 | 35.5 | 5 0 2 |
| 1.397 | 66.96 | 28.6 | 5 2 3 |

***

[4]
Diffraction record for Ce4Tl5Ir2. The X-ray diffraction stick pattern is computed, not measured: it uses a structure optimized by DFT (PBE) and Cu Ka.

Atomic structure:
Unit cell a=8.0879 b=3.7015 c=9.8235 alpha=90.00 beta=94.32 gamma=90.00
Space group P2/m (No. 10)
Asymmetric unit:
Ce1 0.1891 0.0000 0.3407 (multiplicity 2)
Ce2 0.2071 0.0000 0.9347 (multiplicity 2)
Tl1 0.1558 0.5000 0.6377 (multiplicity 2)
Tl2 0.4632 0.5000 0.1649 (multiplicity 2)
Tl3 0.5000 0.5000 0.5000 (multiplicity 1)
Ir1 0.0850 0.5000 0.1385 (multiplicity 2)

Main lines, in order of rising 2θ (10 to 80 degrees two-theta):
| d/Å | Position (°2θ) | I/Imax | (hkl) |
| --- | --- | --- | --- |
| 3.701 | 24.04 | 30.6 | 0 1 0 |
| 2.951 | 30.29 | 23.8 | 1 0 3 |
| 2.815 | 31.79 | 38.8 | 1 1 -2 |
| 2.730 | 32.80 | 100.0 | 1 1 2 |
| 2.688 | 33.33 | 37.9 | 3 0 0 |
| 2.638 | 33.98 | 39.3 | 2 0 -3 |
| 2.449 | 36.70 | 58.0 | 2 0 3 |
| 2.436 | 36.91 | 38.5 | 2 1 -2 |
| 2.150 | 42.02 | 19.2 | 3 1 -1 |
| 1.851 | 49.23 | 25.7 | 0 2 0 |

***

[5]
Diffraction record for Cs2SbO2. The X-ray diffraction stick pattern is computed, not measured: it uses a structure optimized by DFT (PBE) and Cu Ka.

Atomic structure:
Unit cell a=8.7019 b=10.9420 c=7.4622 alpha=90.00 beta=108.27 gamma=90.00
Space group P2_1/c (No. 14)
Asymmetric unit:
Cs1 0.0153 0.2006 0.1300 (multiplicity 4)
Cs2 0.4607 0.1714 0.9438 (multiplicity 4)
Sb1 0.3055 0.5202 0.9740 (multiplicity 4)
O1 0.2344 0.1455 0.5132 (multiplicity 4)
O2 0.4606 0.0231 0.3192 (multiplicity 4)

Main lines, in order of rising 2θ (10 to 80 degrees two-theta):
| d/Å | Position (°2θ) | I/Imax | (hkl) |
| --- | --- | --- | --- |
| 3.909 | 22.75 | 51.2 | 2 1 -1 |
| 3.704 | 24.03 | 24.4 | 1 0 -2 |
| 3.543 | 25.13 | 31.8 | 0 0 2 |
| 3.508 | 25.39 | 42.5 | 1 1 -2 |
| 3.297 | 27.04 | 66.4 | 2 2 0 |
| 3.243 | 27.51 | 100.0 | 0 3 1 |
| 3.039 | 29.39 | 29.8 | 2 1 1 |
| 2.839 | 31.51 | 36.6 | 1 1 2 |
| 2.751 | 32.55 | 25.1 | 2 3 -1 |
| 2.055 | 44.07 | 26.1 | 1 3 -3 |

***

[6]
Diffraction record for CsNdPaSe4. The X-ray diffraction stick pattern is computed, not measured: it uses a structure optimized by DFT (PBE) and Cu Ka.

Atomic structure:
Unit cell a=9.0029 b=9.3851 c=12.5956 alpha=90.00 beta=90.00 gamma=90.00
Space group Imma (No. 74)
Asymmetric unit:
Cs1 0.0000 0.2500 0.1342 (multiplicity 4)
Nd1 0.0000 0.0000 0.5000 (multiplicity 4)
Pa1 0.2500 0.2500 0.7500 (multiplicity 4)
Se1 0.0000 0.0559 0.7361 (multiplicity 8)
Se2 0.2083 0.2500 0.5245 (multiplicity 8)

Main lines, in order of rising 2θ (10 to 80 degrees two-theta):
| d/Å | Position (°2θ) | I/Imax | (hkl) |
| --- | --- | --- | --- |
| 7.526 | 11.76 | 76.2 | 0 1 1 |
| 3.951 | 22.50 | 34.2 | 1 2 1 |
| 3.863 | 23.02 | 65.8 | 2 1 1 |
| 3.833 | 23.21 | 30.8 | 0 1 3 |
| 3.248 | 27.46 | 64.7 | 2 2 0 |
| 3.149 | 28.34 | 32.8 | 0 0 4 |
| 2.517 | 35.67 | 60.3 | 2 3 1 |
| 2.479 | 36.24 | 30.9 | 3 2 1 |
| 2.433 | 36.95 | 29.6 | 0 1 5 |
| 2.261 | 39.87 | 100.0 | 2 2 4 |

***

[7]
Diffraction record for Pm2Co2P2N. The X-ray diffraction stick pattern is computed, not measured: it uses a structure optimized by DFT (PBE) and Cu Ka.

Atomic structure:
Unit cell a=10.8900 b=3.7287 c=6.6809 alpha=90.00 beta=125.36 gamma=90.00
Space group C2/m (No. 12)
Asymmetric unit:
Pm1 0.0577 0.0000 0.2944 (multiplicity 4)
Co1 0.1984 0.5000 0.0819 (multiplicity 4)
P1 0.1818 0.5000 0.7273 (multiplicity 4)
N1 0.0000 0.5000 0.0000 (multiplicity 2)

Main lines, in order of rising 2θ (10 to 80 degrees two-theta):
| d/Å | Position (°2θ) | I/Imax | (hkl) |
| --- | --- | --- | --- |
| 3.438 | 25.92 | 56.2 | 1 1 0 |
| 3.337 | 26.71 | 30.1 | 2 0 -2 |
| 2.750 | 32.56 | 39.2 | 2 0 1 |
| 2.664 | 33.64 | 38.4 | 4 0 -1 |
| 2.652 | 33.80 | 35.9 | 1 1 1 |
| 2.615 | 34.29 | 25.7 | 4 0 -2 |
| 2.600 | 34.50 | 63.6 | 3 1 -1 |
| 2.415 | 37.24 | 100.0 | 1 1 -2 |
| 2.319 | 38.84 | 41.8 | 3 1 0 |
| 1.864 | 48.85 | 31.7 | 0 2 0 |

***

[8]
Diffraction record for ZrCuSn. The X-ray diffraction stick pattern is computed, not measured: it uses a structure optimized by DFT (PBE) and Cu Ka.

Atomic structure:
Unit cell a=6.6751 b=4.4115 c=7.7432 alpha=90.00 beta=90.00 gamma=90.00
Space group Pnma (No. 62)
Asymmetric unit:
Zr1 0.9999 0.2500 0.2201 (multiplicity 4)
Cu1 0.1974 0.2500 0.5846 (multiplicity 4)
Sn1 0.2256 0.7500 0.4129 (multiplicity 4)

Main lines, in order of rising 2θ (10 to 80 degrees two-theta):
| d/Å | Position (°2θ) | I/Imax | (hkl) |
| --- | --- | --- | --- |
| 3.343 | 26.67 | 17.4 | 2 0 0 |
| 3.324 | 26.82 | 13.3 | 1 1 1 |
| 2.667 | 33.60 | 18.2 | 1 1 2 |
| 2.528 | 35.51 | 43.5 | 2 0 2 |
| 2.517 | 35.67 | 100.0 | 2 1 1 |
| 2.228 | 40.49 | 79.1 | 0 1 3 |
| 2.206 | 40.91 | 42.7 | 0 2 0 |
| 1.662 | 55.27 | 23.9 | 2 2 2 |
| 1.336 | 70.51 | 16.1 | 4 1 3 |
| 1.278 | 74.22 | 13.0 | 0 3 3 |

***

[9]
Diffraction record for Ho6TmMg. The X-ray diffraction stick pattern is computed, not measured: it uses a structure optimized by DFT (PBE) and Cu Ka.

Atomic structure:
Unit cell a=11.5936 b=5.2873 c=8.5040 alpha=90.00 beta=112.57 gamma=90.00
Space group C2/m (No. 12)
Asymmetric unit:
Ho1 0.0085 0.0000 0.2276 (multiplicity 4)
Ho2 0.2244 0.5000 0.8808 (multiplicity 4)
Ho3 0.2497 0.0000 0.6419 (multiplicity 4)
Tm1 0.0000 0.5000 0.5000 (multiplicity 2)
Mg1 0.0000 0.5000 0.0000 (multiplicity 2)

Main lines, in order of rising 2θ (10 to 80 degrees two-theta):
| d/Å | Position (°2θ) | I/Imax | (hkl) |
| --- | --- | --- | --- |
| 3.114 | 28.67 | 16.5 | 3 1 -1 |
| 2.835 | 31.55 | 91.2 | 3 1 -2 |
| 2.799 | 31.97 | 100.0 | 1 1 2 |
| 2.676 | 33.48 | 40.1 | 4 0 0 |
| 2.644 | 33.91 | 44.0 | 0 2 0 |
| 2.126 | 42.53 | 18.5 | 2 0 -4 |
| 1.881 | 48.39 | 28.7 | 4 2 0 |
| 1.657 | 55.47 | 17.0 | 2 2 -4 |
| 1.561 | 59.18 | 30.6 | 3 3 -2 |
| 1.555 | 59.46 | 17.1 | 1 3 2 |

***

[10]
Diffraction record for Ac3Ga4Ni4. The X-ray diffraction stick pattern is computed, not measured: it uses a structure optimized by DFT (PBE) and Cu Ka.

Atomic structure:
Unit cell a=4.2586 b=4.3182 c=13.0049 alpha=99.50 beta=99.38 gamma=90.09
Space group P-1 (No. 2)
Asymmetric unit:
Ac1 0.0000 0.0000 0.0000 (multiplicity 1)
Ac2 0.3509 0.8513 0.7019 (multiplicity 2)
Ga1 0.0993 0.5995 0.1996 (multiplicity 2)
Ga2 0.2509 0.2502 0.5000 (multiplicity 2)
Ni1 0.1970 0.6988 0.3962 (multiplicity 2)
Ni2 0.4519 0.4513 0.9031 (multiplicity 2)

Main lines, in order of rising 2θ (10 to 80 degrees two-theta):
| d/Å | Position (°2θ) | I/Imax | (hkl) |
| --- | --- | --- | --- |
| 3.801 | 23.40 | 24.7 | 1 0 1 |
| 2.949 | 30.31 | 22.6 | 1 1 -2 |
| 2.772 | 32.30 | 51.9 | 0 1 3 |
| 2.734 | 32.75 | 100.0 | 1 1 1 |
| 2.346 | 38.37 | 23.2 | 1 0 -5 |
| 2.159 | 41.84 | 25.7 | 0 2 -1 |
| 2.129 | 42.45 | 24.6 | 2 0 -1 |
| 2.024 | 44.79 | 18.6 | 1 0 5 |
| 1.774 | 51.51 | 14.6 | 0 1 -7 |
| 1.689 | 54.33 | 24.0 | 2 1 2 |

***

[11]
Diffraction record for Sm3DyRu. The X-ray diffraction stick pattern is computed, not measured: it uses a structure optimized by DFT (PBE) and Cu Ka.

Atomic structure:
Unit cell a=9.4175 b=7.4843 c=8.7311 alpha=90.00 beta=90.00 gamma=90.00
Space group Ima2 (No. 46)
Asymmetric unit:
Sm1 0.0395 0.2487 0.0000 (multiplicity 8)
Sm2 0.2500 0.5204 0.7516 (multiplicity 4)
Dy1 0.2500 0.5254 0.2483 (multiplicity 4)
Ru1 0.2500 0.7461 0.5000 (multiplicity 4)

Main lines, in order of rising 2θ (10 to 80 degrees two-theta):
| d/Å | Position (°2θ) | I/Imax | (hkl) |
| --- | --- | --- | --- |
| 3.201 | 27.87 | 61.6 | 2 0 2 |
| 2.930 | 30.51 | 46.2 | 2 2 0 |
| 2.895 | 30.89 | 26.5 | 3 1 0 |
| 2.841 | 31.49 | 100.0 | 0 2 2 |
| 2.413 | 37.27 | 19.1 | 3 1 2 |
| 2.354 | 38.23 | 20.2 | 4 0 0 |
| 2.183 | 41.36 | 24.6 | 0 0 4 |
| 1.813 | 50.33 | 34.9 | 4 2 2 |
| 1.783 | 51.24 | 19.8 | 3 3 2 |
| 1.750 | 52.26 | 20.7 | 2 2 4 |